# Hg3C
Theoretical X-ray powder pattern, Cu Kα. Input: DFT lattice parameters and positions (PBE).
Intensities are scaled so that the largest is 100.

Most intense lines, 5° ≤ 2θ ≤ 70°, in order of rising 2θ:
2theta, intensity, index
20.74, 28, 1 0 0
29.50, 25, 1 1 0
36.34, 100, 1 1 1
42.21, 50, 2 0 0
47.48, 14, 2 1 0
52.33, 11, 2 1 1
61.22, 33, 2 2 0
65.38, 7, 3 0 0
69.40, 5, 3 1 0

Atomic structure:
```
data_Hg3C
_chemical_formula_sum 'Hg3 C1'
_cell_length_a 4.282
_cell_length_b 4.282
_cell_length_c 4.282
_cell_angle_alpha 90.00
_cell_angle_beta 90.00
_cell_angle_gamma 90.00
_space_group_name_H-M_alt 'P m -3 m'
_space_group_IT_number 221
_space_group_name_Hall '-P 4 2 3'
loop_
_atom_site_label
_atom_site_fract_x
_atom_site_fract_y
_atom_site_fract_z
Hg1 0.000 0.000 0.500
C1 0.500 0.500 0.500
```

# HgCI3N
Theoretical X-ray powder pattern, Cu Kα. Input: DFT lattice parameters and positions (PBE).
Intensities are scaled so that the largest is 100.

Most intense lines, 5° ≤ 2θ ≤ 70°, in order of rising 2θ:
2theta, intensity, index
9.67, 100, 0 0 2
15.31, 62, 1 1 -1
16.68, 34, 1 1 1
19.27, 64, 1 1 2
19.45, 64, 0 0 4
19.86, 36, 1 0 -4
22.51, 53, 0 1 4
23.62, 54, 2 1 -2
25.02, 34, 2 0 -4
33.72, 41, 2 2 2

Atomic structure:
```
data_HgCI3N
_chemical_formula_sum 'Hg4 C4 I12 N4'
_cell_length_a 8.880
_cell_length_b 7.829
_cell_length_c 18.753
_cell_angle_alpha 90.00
_cell_angle_beta 102.67
_cell_angle_gamma 90.00
_space_group_name_H-M_alt 'P 1 21/c 1'
_space_group_IT_number 14
loop_
_space_group_symop_operation_xyz
'x,y,z'
'-x,-y,-z'
'-x,y+1/2,-z+1/2'
'x,-y+1/2,z+1/2'
loop_
_atom_site_label
_atom_site_fract_x
_atom_site_fract_y
_atom_site_fract_z
Hg1 0.220 0.026 0.227
C1 0.500 0.249 0.046
I1 0.032 0.715 0.665
I2 0.282 0.739 0.965
I3 0.412 0.228 0.781
N1 0.372 0.240 0.053
```

# HgC6I2N4
Theoretical X-ray powder pattern, Cu Kα. Input: DFT lattice parameters and positions (PBE).
Intensities are scaled so that the largest is 100.

Most intense lines, 5° ≤ 2θ ≤ 70°, in order of rising 2θ:
2theta, intensity, index
11.12, 23, 0 0 2
13.77, 36, 2 0 0
13.98, 87, 0 1 1
18.35, 37, 1 1 2
18.85, 40, 2 1 0
19.67, 100, 2 1 1
25.79, 35, 0 2 0
29.36, 26, 2 2 0
42.04, 19, 2 3 1
42.46, 18, 1 1 7

Atomic structure:
```
data_HgC6I2N4
_chemical_formula_sum 'Hg4 C24 I8 N16'
_cell_length_a 12.865
_cell_length_b 6.908
_cell_length_c 15.911
_cell_angle_alpha 90.00
_cell_angle_beta 90.00
_cell_angle_gamma 90.00
_space_group_name_H-M_alt 'P n m a'
_space_group_IT_number 62
loop_
_space_group_symop_operation_xyz
'x,y,z'
'-x,-y,-z'
'-x+1/2,-y,z+1/2'
'x+1/2,y,-z+1/2'
'x+1/2,-y+1/2,-z+1/2'
'-x+1/2,y+1/2,z+1/2'
'-x,y+1/2,-z'
'x,-y+1/2,z'
loop_
_atom_site_label
_atom_site_fract_x
_atom_site_fract_y
_atom_site_fract_z
Hg1 0.197 0.250 0.226
C1 0.023 0.082 0.729
C2 0.067 0.750 0.380
C3 0.093 0.086 0.588
C4 0.176 0.250 0.695
I1 0.139 0.250 0.069
I2 0.228 0.750 0.879
N1 0.029 0.250 0.574
N2 0.033 0.750 0.296
N3 0.114 0.082 0.676
```

# HgC8I4N2
Theoretical X-ray powder pattern, Cu Kα. Input: DFT lattice parameters and positions (PBE).
Intensities are scaled so that the largest is 100.

Most intense lines, 5° ≤ 2θ ≤ 70°, in order of rising 2θ:
2theta, intensity, index
7.93, 19, 0 1 1
11.66, 84, 0 1 2
13.12, 44, 1 1 1
13.39, 22, 0 2 1
19.36, 100, 0 3 1
19.80, 50, 0 0 4
20.77, 42, 0 1 4
23.95, 30, 0 3 3
27.85, 33, 0 2 5
35.71, 18, 3 1 3

Atomic structure:
```
data_HgC8I4N2
_chemical_formula_sum 'Hg4 C32 I16 N8'
_cell_length_a 8.477
_cell_length_b 14.229
_cell_length_c 17.938
_cell_angle_alpha 90.00
_cell_angle_beta 90.00
_cell_angle_gamma 90.00
_space_group_name_H-M_alt 'P 21 21 21'
_space_group_IT_number 19
loop_
_space_group_symop_operation_xyz
'x,y,z'
'-x+1/2,-y,z+1/2'
'x+1/2,-y+1/2,-z'
'-x,y+1/2,-z+1/2'
loop_
_atom_site_label
_atom_site_fract_x
_atom_site_fract_y
_atom_site_fract_z
Hg1 0.003 0.072 0.357
C1 0.040 0.808 0.596
C2 0.041 0.735 0.651
C3 0.043 0.892 0.052
C4 0.072 0.390 0.372
C5 0.088 0.866 0.144
C6 0.127 0.136 0.764
C7 0.178 0.757 0.617
C8 0.184 0.906 0.089
I1 0.078 0.094 0.565
I2 0.088 0.260 0.098
I3 0.202 0.466 0.648
I4 0.203 0.875 0.840
N1 0.045 0.183 0.803
N2 0.114 0.378 0.447
```

Copy entry 3 word for word.
# HgC6I2N4
Theoretical X-ray powder pattern, Cu Kα. Input: DFT lattice parameters and positions (PBE).
Intensities are scaled so that the largest is 100.

Most intense lines, 5° ≤ 2θ ≤ 70°, in order of rising 2θ:
2theta, intensity, index
11.12, 23, 0 0 2
13.77, 36, 2 0 0
13.98, 87, 0 1 1
18.35, 37, 1 1 2
18.85, 40, 2 1 0
19.67, 100, 2 1 1
25.79, 35, 0 2 0
29.36, 26, 2 2 0
42.04, 19, 2 3 1
42.46, 18, 1 1 7

Atomic structure:
```
data_HgC6I2N4
_chemical_formula_sum 'Hg4 C24 I8 N16'
_cell_length_a 12.865
_cell_length_b 6.908
_cell_length_c 15.911
_cell_angle_alpha 90.00
_cell_angle_beta 90.00
_cell_angle_gamma 90.00
_space_group_name_H-M_alt 'P n m a'
_space_group_IT_number 62
loop_
_space_group_symop_operation_xyz
'x,y,z'
'-x,-y,-z'
'-x+1/2,-y,z+1/2'
'x+1/2,y,-z+1/2'
'x+1/2,-y+1/2,-z+1/2'
'-x+1/2,y+1/2,z+1/2'
'-x,y+1/2,-z'
'x,-y+1/2,z'
loop_
_atom_site_label
_atom_site_fract_x
_atom_site_fract_y
_atom_site_fract_z
Hg1 0.197 0.250 0.226
C1 0.023 0.082 0.729
C2 0.067 0.750 0.380
C3 0.093 0.086 0.588
C4 0.176 0.250 0.695
I1 0.139 0.250 0.069
I2 0.228 0.750 0.879
N1 0.029 0.250 0.574
N2 0.033 0.750 0.296
N3 0.114 0.082 0.676
```